For Ca3PmAg8, a structure optimized by DFT (GGA-PBE) gives the calculated X-ray diffraction stick pattern in this record (CuKα).

Top 10 peaks for 2θ from 10° to 90°, in order of rising 2θ:
2θ (°)  I_rel  index
18.72  45  0 1 2
36.21  50  2 0 2
36.45  100  1 1 6
36.92  47  1 0 10
37.96  86  0 2 4
38.88  27  0 0 12
44.39  26  2 0 8
58.40  24  3 0 6
63.95  29  2 2 0
65.21  27  0 2 16

Structure:
```
data_Ca3PmAg8
_chemical_formula_sum 'Ca9 Pm3 Ag24'
_cell_length_a 5.8229
_cell_length_b 5.8229
_cell_length_c 27.7978
_cell_angle_alpha 90.00
_cell_angle_beta 90.00
_cell_angle_gamma 120.00
_symmetry_space_group_name_H-M 'R 3 m'
_symmetry_Int_Tables_number 160
_symmetry_space_group_name_Hall 'R 3 -2"'
loop_
_atom_site_label
_atom_site_type_symbol
_atom_site_fract_x
_atom_site_fract_y
_atom_site_fract_z
Ca1 Ca 0.0000 0.0000 0.0000
Ca2 Ca 0.0000 0.0000 0.1258
Ca3 Ca 0.0000 0.0000 0.6270
Pm1 Pm 0.0000 0.0000 0.5010
Ag1 Ag 0.0000 0.0000 0.3137
Ag2 Ag 0.0000 0.0000 0.8134
Ag3 Ag 0.0006 0.5003 0.0642
Ag4 Ag 0.1676 0.3353 0.8965
```

=====

For Li2Er3Ga4, a structure optimized by DFT (GGA-PBE) gives the calculated X-ray diffraction stick pattern in this record (CuKα).

Top 10 peaks for 2θ from 10° to 90°, in order of rising 2θ:
2θ (°)  I_rel  index
22.49  18  2 0 -2
22.64  33  1 1 -1
34.87  19  0 0 3
35.03  100  1 1 2
39.58  43  3 1 -3
39.85  22  0 2 0
54.02  22  4 2 -1
68.86  11  2 2 -5
69.18  13  1 1 5
69.32  13  7 1 -1

Structure:
```
data_Li2Er3Ga4
_chemical_formula_sum 'Li4 Er6 Ga8'
_cell_length_a 10.3833
_cell_length_b 4.5244
_cell_length_c 8.6077
_cell_angle_alpha 90.00
_cell_angle_beta 116.28
_cell_angle_gamma 90.00
_symmetry_space_group_name_H-M 'C 1 2/m 1'
_symmetry_Int_Tables_number 12
loop_
_symmetry_equiv_pos_as_xyz
'x,y,z'
'-x,-y,-z'
'-x,y,-z'
'x,-y,z'
'x+1/2,y+1/2,z'
'-x+1/2,-y+1/2,-z'
'-x+1/2,y+1/2,-z'
'x+1/2,-y+1/2,z'
loop_
_atom_site_label
_atom_site_type_symbol
_atom_site_fract_x
_atom_site_fract_y
_atom_site_fract_z
Li1 Li 0.1076 0.0000 0.2773
Er1 Er 0.0000 0.5000 0.0000
Er2 Er 0.1676 0.0000 0.6600
Ga1 Ga 0.0432 0.5000 0.3757
Ga2 Ga 0.2374 0.0000 0.0768
```

=====

For Re24Tc5, a structure optimized by DFT (GGA-PBE) gives the calculated X-ray diffraction stick pattern in this record (CuKα).

Top 10 peaks for 2θ from 10° to 90°, in order of rising 2θ:
2θ (°)  I_rel  index
37.47  10  4 0 0
39.83  100  4 1 1
44.25  35  3 3 2
46.33  9  4 2 2
48.34  29  4 3 1
69.19  9  5 5 0
72.32  28  7 2 1
73.86  10  6 4 2
75.40  6  7 3 0
85.89  11  8 2 2

Structure:
```
data_Re24Tc5
_chemical_formula_sum 'Re48 Tc10'
_cell_length_a 9.6011
_cell_length_b 9.6011
_cell_length_c 9.6011
_cell_angle_alpha 90.00
_cell_angle_beta 90.00
_cell_angle_gamma 90.00
_symmetry_space_group_name_H-M 'I -4 3 m'
_symmetry_Int_Tables_number 217
_symmetry_space_group_name_Hall 'I -4 2 3'
loop_
_atom_site_label
_atom_site_type_symbol
_atom_site_fract_x
_atom_site_fract_y
_atom_site_fract_z
Re1 Re 0.0428 0.3581 0.6419
Re2 Re 0.0906 0.0906 0.7165
Tc1 Tc 0.0000 0.0000 0.0000
Tc2 Tc 0.1766 0.1766 0.1766
```